Entry 1:
KTeO3: computed PXRD pattern (Cu Kα (weighted mean of Kα1 and Kα2)), based on DFT lattice parameters and positions (GGA-PBE).

Top 6 peaks for 2θ = 10–80°, sorted by position:
21.6 deg, intensity 55; 30.7 deg, intensity 100; 44.0 deg, intensity 37; 49.5 deg, intensity 24; 54.6 deg, intensity 39; 64.0 deg, intensity 22

```
KTeO3
1.0
4.1144 0.0000 0.0000
0.0000 4.1144 0.0000
0.0000 0.0000 4.1144
K Te O
1 1 3
Direct
0.0000 0.0000 0.0000
0.5000 0.5000 0.5000
0.0000 0.5000 0.5000
0.5000 0.0000 0.5000
0.5000 0.5000 0.0000
```

---

Entry 2:
MgHg2Bi4O12: computed PXRD pattern (Cu Kα (weighted mean of Kα1 and Kα2)), based on DFT lattice parameters and positions (GGA-PBE).

Top 6 peaks for 2θ = 10–80°, sorted by position:
23.7 deg, intensity 100; 30.8 deg, intensity 45; 30.9 deg, intensity 45; 33.5 deg, intensity 18; 46.2 deg, intensity 36; 46.6 deg, intensity 37

```
MgHg2Bi4O12
1.0
5.2667 0.0000 0.0000
0.0000 10.3674 0.0000
-0.0138 0.0000 5.3539
Mg Hg Bi O
1 2 4 12
Direct
0.0000 0.0000 0.0000
0.0000 0.4424 0.5000
0.5000 0.9224 0.0000
0.0000 0.1208 0.5000
0.0000 0.7625 0.5000
0.5000 0.2735 0.0000
0.5000 0.6030 0.0000
0.1644 0.9420 0.6921
0.2147 0.6146 0.6953
0.2227 0.2639 0.6896
0.2651 0.1085 0.1711
0.2811 0.7606 0.1901
0.3077 0.4378 0.1753
0.6923 0.4378 0.8247
0.7189 0.7606 0.8099
0.7349 0.1085 0.8289
0.7773 0.2639 0.3104
0.7853 0.6146 0.3047
0.8356 0.9420 0.3079
```

---

Entry 3:
EuCu2Ge2: computed PXRD pattern (Cu Kα (weighted mean of Kα1 and Kα2)), based on DFT lattice parameters and positions (GGA-PBE).

Top 6 peaks for 2θ = 10–80°, sorted by position:
33.8 deg, intensity 78; 34.9 deg, intensity 100; 43.1 deg, intensity 59; 49.4 deg, intensity 30; 55.9 deg, intensity 36; 62.6 deg, intensity 34

```
EuCu2Ge2
1.0
-2.0972 2.0972 5.1400
2.0972 -2.0972 5.1400
2.0972 2.0972 -5.1400
Eu Cu Ge
1 2 2
Direct
0.0000 0.0000 0.0000
0.2500 0.7500 0.5000
0.7500 0.2500 0.5000
0.3766 0.3766 0.0000
0.6234 0.6234 0.0000
```

---

Entry 4:
Mg2BiAsO6: computed PXRD pattern (Cu Kα (weighted mean of Kα1 and Kα2)), based on DFT lattice parameters and positions (GGA-PBE).

Top 6 peaks for 2θ = 10–80°, sorted by position:
13.1 deg, intensity 61; 21.6 deg, intensity 41; 22.2 deg, intensity 35; 29.2 deg, intensity 100; 31.2 deg, intensity 84; 50.8 deg, intensity 24

```
Mg2BiAsO6
1.0
4.0049 -6.2415 0.0000
4.0049 6.2415 0.0000
0.0000 0.0000 5.4679
Mg Bi As O
4 2 2 12
Direct
0.1038 0.2885 0.2500
0.2885 0.1038 0.7500
0.7115 0.8962 0.2500
0.8962 0.7115 0.7500
0.4080 0.5920 0.7500
0.5920 0.4080 0.2500
0.1979 0.8021 0.2500
0.8021 0.1979 0.7500
0.0951 0.5506 0.2500
0.1172 0.8828 0.5071
0.1172 0.8828 0.9929
0.3297 0.3297 0.0000
0.3297 0.3297 0.5000
0.4494 0.9049 0.2500
0.5506 0.0951 0.7500
0.6703 0.6703 0.0000
0.6703 0.6703 0.5000
0.8828 0.1172 0.0071
0.8828 0.1172 0.4929
0.9049 0.4494 0.7500
```

---

Entry 5:
BaAs2Pt: computed PXRD pattern (Cu Kα (weighted mean of Kα1 and Kα2)), based on DFT lattice parameters and positions (GGA-PBE).

Top 6 peaks for 2θ = 10–80°, sorted by position:
10.2 deg, intensity 72; 27.3 deg, intensity 100; 31.0 deg, intensity 59; 31.9 deg, intensity 95; 37.9 deg, intensity 61; 50.9 deg, intensity 65

```
BaAs2Pt
1.0
2.3726 -8.7050 0.0000
2.3726 8.7050 0.0000
0.0000 0.0000 4.6640
Ba As Pt
2 4 2
Direct
0.1046 0.8954 0.7500
0.8954 0.1046 0.2500
0.2497 0.7503 0.2500
0.4611 0.5389 0.7500
0.5389 0.4611 0.2500
0.7503 0.2497 0.7500
0.3126 0.6874 0.7500
0.6874 0.3126 0.2500
```

---

Entry 6:
ThAsS: computed PXRD pattern (Cu Kα (weighted mean of Kα1 and Kα2)), based on DFT lattice parameters and positions (GGA-PBE).

Top 6 peaks for 2θ = 10–80°, sorted by position:
24.5 deg, intensity 100; 33.2 deg, intensity 26; 38.2 deg, intensity 72; 39.3 deg, intensity 34; 45.0 deg, intensity 30; 51.9 deg, intensity 28

```
ThAsS
1.0
4.0263 0.0000 0.0000
0.0000 4.0263 0.0000
0.0000 0.0000 8.3683
Th As S
2 2 2
Direct
0.2500 0.2500 0.2187
0.7500 0.7500 0.7813
0.2500 0.7500 0.5000
0.7500 0.2500 0.5000
0.2500 0.2500 0.8656
0.7500 0.7500 0.1344
```

---

Entry 7:
K5AgN2O2: computed PXRD pattern (Cu Kα (weighted mean of Kα1 and Kα2)), based on DFT lattice parameters and positions (GGA-PBE).

Top 6 peaks for 2θ = 10–80°, sorted by position:
14.3 deg, intensity 46; 16.9 deg, intensity 50; 28.8 deg, intensity 44; 30.9 deg, intensity 100; 33.6 deg, intensity 49; 34.2 deg, intensity 47

```
K5AgN2O2
1.0
5.2445 0.0000 0.0000
0.0000 13.9030 0.0000
-0.0051 0.0000 6.9255
K Ag N O
10 2 4 4
Direct
0.0004 0.0000 0.0303
0.9996 0.5000 0.9697
0.0034 0.2421 0.4804
0.4679 0.1251 0.7520
0.4853 0.8355 0.9122
0.4884 0.4043 0.5981
0.5116 0.9043 0.4019
0.5147 0.3355 0.0878
0.5321 0.6251 0.2480
0.9966 0.7421 0.5196
0.4963 0.6213 0.7496
0.5037 0.1213 0.2504
0.0133 0.9786 0.5973
0.0287 0.2780 0.8912
0.9713 0.7780 0.1088
0.9867 0.4786 0.4027
0.4947 0.7384 0.5696
0.4989 0.5058 0.9335
0.5011 0.0058 0.0665
0.5053 0.2384 0.4304
```

---

Entry 8:
Zr9Co2P4: computed PXRD pattern (Cu Kα (weighted mean of Kα1 and Kα2)), based on DFT lattice parameters and positions (GGA-PBE).

Top 6 peaks for 2θ = 10–80°, sorted by position:
36.2 deg, intensity 100; 37.9 deg, intensity 28; 38.5 deg, intensity 38; 42.2 deg, intensity 18; 49.5 deg, intensity 20; 61.1 deg, intensity 27

```
Zr9Co2P4
1.0
12.1175 0.0000 0.0000
0.0000 12.1175 0.0000
0.0000 0.0000 3.6809
Zr Co P
18 4 8
Direct
0.0000 0.0000 0.0000
0.0958 0.4042 0.0000
0.1046 0.1809 0.5000
0.1217 0.6217 0.5000
0.1809 0.8954 0.5000
0.3191 0.3954 0.5000
0.3783 0.1217 0.5000
0.3954 0.6809 0.5000
0.4042 0.9042 0.0000
0.5000 0.5000 0.0000
0.5958 0.0958 0.0000
0.6046 0.3191 0.5000
0.6217 0.8783 0.5000
0.6809 0.6046 0.5000
0.8191 0.1046 0.5000
0.8783 0.3783 0.5000
0.8954 0.8191 0.5000
0.9042 0.5958 0.0000
0.2504 0.2496 0.0000
0.2496 0.7496 0.0000
0.7504 0.2504 0.0000
0.7496 0.7504 0.0000
0.0572 0.7752 0.0000
0.2248 0.0572 0.0000
0.2752 0.5572 0.0000
0.4428 0.2752 0.0000
0.5572 0.7248 0.0000
0.7248 0.4428 0.0000
0.7752 0.9428 0.0000
0.9428 0.2248 0.0000
```